(1)
The following is a calculated X-ray diffraction stick pattern of Rb2CuI5. It was derived from the GGA-PBE geometry in Alexandria, using Cu Kα (λ = 1.5418 Å).
No peak broadening, texture or thermal motion is included.

Top 10 peaks for 10° ≤ 2θ ≤ 90°, sorted by position:
d [Å]  Rel. int.
5.700  54
4.802  49
4.427  100
3.392  38
3.352  60
3.196  59
2.921  39
2.909  49
2.885  53
2.670  37

Cell: 6.496 7.287 9.012 Å, 88.88 79.28 89.74°
Space group P1 (No. 1)
Asymmetric unit:
Rb 0.000 0.000 0.000 (multiplicity 1)
Rb 0.422 0.491 0.249 (multiplicity 1)
Cu 0.035 0.504 0.753 (multiplicity 1)
I 0.050 0.219 0.589 (multiplicity 1)
I 0.315 0.751 0.638 (multiplicity 1)
I 0.454 0.995 0.177 (multiplicity 1)
I 0.690 0.506 0.635 (multiplicity 1)
I 0.974 0.497 0.043 (multiplicity 1)

***

(2)
The following is a calculated X-ray diffraction stick pattern of Sr2ErTaN4. It was derived from the GGA-PBE geometry in Alexandria, using Cu Kα (λ = 1.5418 Å).
No peak broadening, texture or thermal motion is included.

Top 10 peaks for 10° ≤ 2θ ≤ 90°, sorted by position:
d [Å]  Rel. int.
5.723  26
2.861  100
2.800  93
2.456  47
2.448  95
1.760  17
1.734  64
1.490  31
1.464  28
1.431  16

Cell: 6.815 7.040 9.824 Å, 90.00 90.00 90.00°
Space group Imma (No. 74)
Asymmetric unit:
Sr 0.000 0.000 0.000 (multiplicity 4)
Sr 0.250 0.250 0.250 (multiplicity 4)
Er 0.000 0.000 0.500 (multiplicity 4)
Ta 0.250 0.250 0.750 (multiplicity 4)
N 0.000 0.042 0.743 (multiplicity 8)
N 0.232 0.250 0.532 (multiplicity 8)

***

(3)
The following is a calculated X-ray diffraction stick pattern of La12Pr5Dy2. It was derived from the GGA-PBE geometry in Alexandria, using Cu Kα (λ = 1.5418 Å).
No peak broadening, texture or thermal motion is included.

Top 10 peaks for 10° ≤ 2θ ≤ 90°, sorted by position:
d [Å]  Rel. int.
3.288  23
3.125  28
3.104  63
3.049  18
2.993  36
2.952  100
2.821  36
2.433  20
1.896  18
1.595  21

Cell: 19.533 7.584 10.340 Å, 90.00 114.87 90.00°
Space group C2/m (No. 12)
Asymmetric unit:
La 0.009 0.000 0.330 (multiplicity 4)
La 0.010 0.500 0.219 (multiplicity 4)
La 0.159 0.250 0.850 (multiplicity 8)
La 0.168 0.263 0.503 (multiplicity 8)
Pr 0.000 0.500 0.500 (multiplicity 2)
Pr 0.174 0.500 0.166 (multiplicity 4)
Pr 0.175 0.000 0.198 (multiplicity 4)
Dy 0.000 0.203 0.000 (multiplicity 4)

***

(4)
The following is a calculated X-ray diffraction stick pattern of AlBiH3. It was derived from the GGA-PBE geometry in Alexandria, using Cu Kα (λ = 1.5418 Å).
No peak broadening, texture or thermal motion is included.

Top 10 peaks for 10° ≤ 2θ ≤ 90°, sorted by position:
d [Å]  Rel. int.
3.838  69
2.714  100
2.216  24
1.919  19
1.716  32
1.567  39
1.357  13
1.279  16
1.214  18
1.157  10

Cell: 3.838 3.838 3.838 Å, 90.00 90.00 90.00°
Space group Pm-3m (No. 221)
Asymmetric unit:
Al 0.000 0.000 0.000 (multiplicity 1)
Bi 0.500 0.500 0.500 (multiplicity 1)
H 0.000 0.000 0.500 (multiplicity 3)

***

(5)
The following is a calculated X-ray diffraction stick pattern of Rb2Ag3Sn9. It was derived from the GGA-PBE geometry in Alexandria, using Cu Kα (λ = 1.5418 Å).
No peak broadening, texture or thermal motion is included.

Top 10 peaks for 10° ≤ 2θ ≤ 90°, sorted by position:
d [Å]  Rel. int.
6.534  31
3.267  38
3.074  86
3.047  77
3.014  82
2.481  100
2.411  77
2.314  36
2.238  27
2.179  34

Cell: 14.484 8.676 13.877 Å, 90.00 109.66 90.00°
Space group C2/c (No. 15)
Asymmetric unit:
Rb 0.167 0.083 0.253 (multiplicity 8)
Ag 0.110 0.245 0.550 (multiplicity 8)
Ag 0.250 0.250 0.000 (multiplicity 4)
Sn 0.000 0.389 0.250 (multiplicity 4)
Sn 0.064 0.090 0.942 (multiplicity 8)
Sn 0.086 0.409 0.068 (multiplicity 8)
Sn 0.106 0.306 0.766 (multiplicity 8)
Sn 0.209 0.426 0.436 (multiplicity 8)

***

(6)
The following is a calculated X-ray diffraction stick pattern of Sm3Er3Sc. It was derived from the GGA-PBE geometry in Alexandria, using Cu Kα (λ = 1.5418 Å).
No peak broadening, texture or thermal motion is included.

Top 10 peaks for 10° ≤ 2θ ≤ 90°, sorted by position:
d [Å]  Rel. int.
3.093  24
2.826  25
2.713  100
2.086  16
1.786  20
1.609  21
1.510  23
1.492  16
1.145  13
1.108  9

Cell: 9.4500 9.4500 5.6512 Å, 90.00 90.00 120.00°
Space group P6_3/m (No. 176)
Asymmetric unit:
Sm 0.0522 0.8066 0.2500 (multiplicity 6)
Er 0.0966 0.6163 0.7500 (multiplicity 6)
Sc 0.3333 0.6667 0.2500 (multiplicity 2)

***

(7)
The following is a calculated X-ray diffraction stick pattern of KU4Se6. It was derived from the GGA-PBE geometry in Alexandria, using Cu Kα (λ = 1.5418 Å).
No peak broadening, texture or thermal motion is included.

Top 10 peaks for 10° ≤ 2θ ≤ 90°, sorted by position:
d [Å]  Rel. int.
3.603  66
3.417  43
3.141  47
3.006  92
2.919  100
2.790  82
2.769  84
2.086  46
2.037  48
2.001  53

Cell: 4.073 13.668 21.199 Å, 90.00 90.00 90.00°
Space group Cmcm (No. 63)
Asymmetric unit:
K 0.000 0.169 0.250 (multiplicity 4)
U 0.000 0.092 0.624 (multiplicity 8)
U 0.000 0.358 0.536 (multiplicity 8)
Se 0.000 0.000 0.000 (multiplicity 4)
Se 0.000 0.146 0.750 (multiplicity 4)
Se 0.000 0.267 0.090 (multiplicity 8)
Se 0.000 0.456 0.655 (multiplicity 8)

***

(8)
The following is a calculated X-ray diffraction stick pattern of TbCoSn3. It was derived from the GGA-PBE geometry in Alexandria, using Cu Kα (λ = 1.5418 Å).
No peak broadening, texture or thermal motion is included.

Top 10 peaks for 10° ≤ 2θ ≤ 90°, sorted by position:
d [Å]  Rel. int.
3.083  21
2.748  49
2.695  35
2.502  100
2.467  21
2.459  23
2.421  29
2.144  68
1.617  38
1.334  17

Cell: 12.330 6.139 5.993 Å, 90.00 90.00 90.00°
Space group Pbcm (No. 57)
Asymmetric unit:
Tb 0.201 0.023 0.250 (multiplicity 4)
Co 0.389 0.250 0.000 (multiplicity 4)
Sn 0.006 0.750 0.000 (multiplicity 4)
Sn 0.279 0.524 0.250 (multiplicity 4)
Sn 0.452 0.585 0.750 (multiplicity 4)